Diffraction record for LaZr2Rh. The powder XRD pattern is simulated, not measured: it uses the PBE geometry in Alexandria and λ = 1.5418 Å (Cu Kα).
Kinematic intensities with the Lorentz-polarization factor, no thermal factor.

Principal peaks in the range 5 to 70 degrees two-theta, sorted by position:
- 10.34 deg, d = 8.553 Å, rel. 14.1
- 34.17 deg, d = 2.624 Å, rel. 100.0
- 38.30 deg, d = 2.350 Å, rel. 47.5
- 41.74 deg, d = 2.164 Å, rel. 16.2
- 55.28 deg, d = 1.662 Å, rel. 16.1
- 66.61 deg, d = 1.404 Å, rel. 27.7

Cell and atoms:
Unit cell a=3.3238 b=3.3238 c=8.5528 alpha=90.00 beta=90.00 gamma=90.00
Element x y z (fractional)
La1 0.0000 0.0000 0.0000
Zr1 0.0000 0.0000 0.4237
Zr2 0.5000 0.5000 0.6663
Rh1 0.5000 0.5000 0.2520

Diffraction record for Ac4HN3. The powder XRD pattern is simulated, not measured: it uses the PBE geometry in Alexandria and λ = 1.5418 Å (Cu Kα).
Kinematic intensities with the Lorentz-polarization factor, no thermal factor.

Principal peaks in the range 5 to 70 degrees two-theta, sorted by position:
- 27.96 deg, d = 3.191 Å, rel. 100.0
- 28.21 deg, d = 3.163 Å, rel. 99.5
- 32.37 deg, d = 2.766 Å, rel. 84.7
- 32.89 deg, d = 2.723 Å, rel. 41.1
- 46.81 deg, d = 1.941 Å, rel. 76.8
- 55.37 deg, d = 1.659 Å, rel. 32.2

Cell and atoms:
Unit cell a=6.7203 b=6.7203 c=3.8857 alpha=90.00 beta=90.00 gamma=108.28
Element x y z (fractional)
Ac1 0.2358 0.2358 0.5000
Ac2 0.2472 0.7528 0.0000
Ac3 0.7528 0.2472 0.0000
Ac4 0.7642 0.7642 0.5000
H1 0.5000 0.5000 0.0000
N1 0.0000 0.0000 0.0000
N2 0.0000 0.5000 0.5000
N3 0.5000 0.0000 0.5000

Diffraction record for Sc3InS. The powder XRD pattern is simulated, not measured: it uses the PBE geometry in Alexandria and λ = 1.5418 Å (Cu Kα).
Kinematic intensities with the Lorentz-polarization factor, no thermal factor.

Principal peaks in the range 5 to 70 degrees two-theta, sorted by position:
- 32.93 deg, d = 2.720 Å, rel. 69.0
- 33.07 deg, d = 2.709 Å, rel. 100.0
- 33.94 deg, d = 2.641 Å, rel. 52.1
- 34.51 deg, d = 2.599 Å, rel. 45.6
- 34.95 deg, d = 2.567 Å, rel. 92.0
- 40.72 deg, d = 2.216 Å, rel. 48.1

Cell and atoms:
Unit cell a=8.4070 b=3.6641 c=13.9092 alpha=90.00 beta=90.00 gamma=90.00
Element x y z (fractional)
Sc1 0.0360 0.2500 0.1124
Sc2 0.1660 0.2500 0.5049
Sc3 0.2077 0.7500 0.2830
Sc4 0.2923 0.2500 0.7830
Sc5 0.3340 0.7500 0.0049
Sc6 0.4640 0.7500 0.6124
Sc7 0.5360 0.2500 0.3876
Sc8 0.6660 0.2500 0.9951
Sc9 0.7077 0.7500 0.2170
Sc10 0.7923 0.2500 0.7170
Sc11 0.8340 0.7500 0.4951
Sc12 0.9640 0.7500 0.8876
In1 0.0734 0.7500 0.6700
In2 0.4266 0.2500 0.1700
In3 0.5734 0.7500 0.8300
In4 0.9266 0.2500 0.3300
S1 0.1549 0.2500 0.9426
S2 0.3451 0.7500 0.4426
S3 0.6549 0.2500 0.5574
S4 0.8451 0.7500 0.0574

Question: What is the formula in the second record?
Answer: Ac4HN3

Question: Which formula does entry 2 have?
Answer: Ac4HN3